[1]
Diffraction record for Ag2Au. The X-ray powder pattern is computed, not measured: it uses a cell relaxed with PBE and a wavelength of 1.5418 Å.

Most intense lines, 10 to 80 degrees two-theta, low angle first:
d/Å  Rel. int.
4.644  52
2.585  100
2.348  95
2.096  68
2.077  92
1.346  35

Structural model:
```
Ag2Au
1.0
-3.2837 3.2837 2.7218
3.2837 -3.2837 2.7218
3.2837 3.2837 -2.7218
Ag Au
4 2
Direct
0.1521 0.6521 0.8043
0.3479 0.1521 0.5000
0.6521 0.8479 0.5000
0.8479 0.3479 0.1957
0.2500 0.2500 0.0000
0.7500 0.7500 0.0000
```

=====

[2]
Diffraction record for Ag3Au. The X-ray powder pattern is computed, not measured: it uses a cell relaxed with PBE and a wavelength of 1.5418 Å.

Most intense lines, 10 to 80 degrees two-theta, low angle first:
d/Å  Rel. int.
2.522  26
2.441  43
2.247  51
2.241  100
1.755  25
1.368  30

Structural model:
```
Ag3Au
1.0
-1.4543 4.8816 2.5309
1.4543 -4.8816 2.5309
1.4543 4.8816 -2.5309
Ag Au
3 1
Direct
0.0000 0.0000 0.0000
0.4181 0.6667 0.7514
0.9153 0.6667 0.2486
0.4976 0.9976 0.5000
```

=====

[3]
Diffraction record for Ag2Au. The X-ray powder pattern is computed, not measured: it uses a cell relaxed with PBE and a wavelength of 1.5418 Å.

Most intense lines, 10 to 80 degrees two-theta, low angle first:
d/Å  Rel. int.
2.405  100
2.390  98
2.077  97
1.469  42
1.255  37
1.248  24

Structural model:
```
Ag2Au
1.0
-1.4605 2.0794 4.4227
1.4605 -2.0794 4.4227
1.4605 2.0794 -4.4227
Ag Au
2 1
Direct
0.1669 0.1669 0.0000
0.8331 0.8331 0.0000
0.5000 0.5000 0.0000
```

=====

[4]
Diffraction record for Ag2Au3. The X-ray powder pattern is computed, not measured: it uses a cell relaxed with PBE and a wavelength of 1.5418 Å.

Most intense lines, 10 to 80 degrees two-theta, low angle first:
d/Å  Rel. int.
2.399  100
2.112  17
2.060  32
1.475  22
1.268  13
1.245  25

Structural model:
```
Ag2Au3
1.0
6.5155 0.0000 0.0000
0.0000 6.5155 0.0000
0.0000 0.0000 4.2246
Ag Au
4 6
Direct
0.0995 0.6999 0.0000
0.3001 0.0995 0.0000
0.6999 0.9005 0.0000
0.9005 0.3001 0.0000
0.0000 0.0000 0.5000
0.1995 0.3991 0.5000
0.3991 0.8005 0.5000
0.5000 0.5000 0.0000
0.6009 0.1995 0.5000
0.8005 0.6009 0.5000
```

=====

[5]
Diffraction record for MgAgBAu2. The X-ray powder pattern is computed, not measured: it uses a cell relaxed with PBE and a wavelength of 1.5418 Å.

Most intense lines, 10 to 80 degrees two-theta, low angle first:
d/Å  Rel. int.
4.321  29
3.507  24
2.723  100
2.480  47
1.629  26
1.474  31

Structural model:
```
MgAgBAu2
1.0
4.9602 0.0000 0.0000
0.0000 4.9602 0.0000
0.0000 0.0000 4.3211
Mg Ag B Au
1 1 1 2
Direct
0.0000 0.0000 0.0000
0.5000 0.5000 0.5000
0.0000 0.0000 0.5000
0.0000 0.5000 0.0000
0.5000 0.0000 0.0000
```

=====

[6]
Diffraction record for BaAgAu5. The X-ray powder pattern is computed, not measured: it uses a cell relaxed with PBE and a wavelength of 1.5418 Å.

Most intense lines, 10 to 80 degrees two-theta, low angle first:
d/Å  Rel. int.
2.655  100
2.644  70
2.275  65
2.265  69
2.256  87
2.246  81

Structural model:
```
BaAgAu5
1.0
9.2806 0.0000 0.0000
0.0000 5.7722 0.0000
0.0000 0.0000 11.6216
Ba Ag Au
4 4 20
Direct
0.2409 0.2500 0.0616
0.2591 0.7500 0.5616
0.7409 0.2500 0.4384
0.7591 0.7500 0.9384
0.1491 0.7500 0.8571
0.3509 0.2500 0.3571
0.6491 0.7500 0.6429
0.8509 0.2500 0.1429
0.0655 0.0081 0.3075
0.0655 0.4919 0.3075
0.0671 0.7500 0.0906
0.1028 0.2500 0.5181
0.1811 0.2500 0.7595
0.3189 0.7500 0.2595
0.3972 0.7500 0.0181
0.4329 0.2500 0.5906
0.4345 0.5081 0.8075
0.4345 0.9919 0.8075
0.5655 0.0081 0.1925
0.5655 0.4919 0.1925
0.5671 0.7500 0.4094
0.6028 0.2500 0.9819
0.6811 0.2500 0.7405
0.8189 0.7500 0.2405
0.8972 0.7500 0.4819
0.9329 0.2500 0.9094
0.9345 0.5081 0.6925
0.9345 0.9919 0.6925
```

=====

[7]
Diffraction record for Ba8Ag3Au2. The X-ray powder pattern is computed, not measured: it uses a cell relaxed with PBE and a wavelength of 1.5418 Å.

Most intense lines, 10 to 80 degrees two-theta, low angle first:
d/Å  Rel. int.
4.699  36
2.882  100
2.873  99
2.032  24
1.664  25
1.660  32

Structural model:
```
Ba8Ag3Au2
1.0
9.9683 0.0000 0.0000
0.0000 5.7351 0.0000
-3.3612 0.0000 9.4301
Ba Ag Au
8 3 2
Direct
0.1188 0.0000 0.3716
0.1267 0.5000 0.8769
0.3716 0.5000 0.6261
0.3738 0.0000 0.1219
0.6262 0.0000 0.8781
0.6284 0.5000 0.3739
0.8733 0.5000 0.1231
0.8812 0.0000 0.6284
0.0000 0.0000 0.0000
0.2521 0.5000 0.2524
0.7479 0.5000 0.7476
0.2542 0.0000 0.7461
0.7458 0.0000 0.2539
```

=====

[8]
Diffraction record for Ba3Ag3Au. The X-ray powder pattern is computed, not measured: it uses a cell relaxed with PBE and a wavelength of 1.5418 Å.

Most intense lines, 10 to 80 degrees two-theta, low angle first:
d/Å  Rel. int.
3.220  100
3.098  60
3.082  31
2.726  27
2.583  67
2.379  46

Structural model:
```
Ba3Ag3Au
1.0
6.1640 -2.3792 0.0000
6.1640 2.3792 0.0000
-6.0454 0.0000 16.3586
Ba Ag Au
6 6 2
Direct
0.0267 0.0267 0.2677
0.1764 0.1764 0.5773
0.3250 0.3250 0.9045
0.6750 0.6750 0.0955
0.8236 0.8236 0.4227
0.9733 0.9733 0.7323
0.0559 0.0559 0.9427
0.3190 0.3190 0.2684
0.4698 0.4698 0.5769
0.5302 0.5302 0.4231
0.6810 0.6810 0.7316
0.9441 0.9441 0.0573
0.3926 0.3926 0.1268
0.6074 0.6074 0.8732
```

=====

[9]
Diffraction record for BaAg2Au8. The X-ray powder pattern is computed, not measured: it uses a cell relaxed with PBE and a wavelength of 1.5418 Å.

Most intense lines, 10 to 80 degrees two-theta, low angle first:
d/Å  Rel. int.
4.834  53
2.752  34
2.417  17
2.392  100
2.093  20
1.946  31

Structural model:
```
BaAg2Au8
1.0
5.5048 0.0000 0.0000
0.0000 5.5048 0.0000
0.0000 0.0000 9.6672
Ba Ag Au
1 2 8
Direct
0.0000 0.0000 0.0000
0.0000 0.5000 0.5000
0.5000 0.0000 0.5000
0.2515 0.2515 0.2819
0.2515 0.2515 0.7181
0.2515 0.7485 0.2819
0.2515 0.7485 0.7181
0.7485 0.2515 0.2819
0.7485 0.2515 0.7181
0.7485 0.7485 0.2819
0.7485 0.7485 0.7181
```

=====

[10]
Diffraction record for Ba8Ag2Au3. The X-ray powder pattern is computed, not measured: it uses a cell relaxed with PBE and a wavelength of 1.5418 Å.

Most intense lines, 10 to 80 degrees two-theta, low angle first:
d/Å  Rel. int.
2.893  25
2.882  100
2.858  25
2.033  18
1.668  28
1.655  19

Structural model:
```
Ba8Ag2Au3
1.0
5.7857 -8.1728 0.0000
5.7857 8.1728 0.0000
0.0000 0.0000 5.7162
Ba Ag Au
8 2 3
Direct
0.1175 0.8825 0.0000
0.1237 0.3636 0.5000
0.3636 0.1237 0.5000
0.3780 0.6220 0.0000
0.6220 0.3780 0.0000
0.6364 0.8763 0.5000
0.8763 0.6364 0.5000
0.8825 0.1175 0.0000
0.2547 0.7453 0.5000
0.7453 0.2547 0.5000
0.0000 0.0000 0.5000
0.2595 0.2595 0.0000
0.7405 0.7405 0.0000
```

=====

[11]
Diffraction record for Ba4Ag3Au. The X-ray powder pattern is computed, not measured: it uses a cell relaxed with PBE and a wavelength of 1.5418 Å.

Most intense lines, 10 to 80 degrees two-theta, low angle first:
d/Å  Rel. int.
3.286  100
3.123  37
2.661  33
2.645  87
2.486  33
2.335  27

Structural model:
```
Ba4Ag3Au
1.0
4.6698 0.0000 0.0000
0.0000 4.9715 0.0000
0.0000 0.0000 12.6017
Ba Ag Au
4 3 1
Direct
0.0000 0.0000 0.0000
0.0000 0.5000 0.2691
0.5000 0.0000 0.4901
0.5000 0.5000 0.7716
0.0000 0.0000 0.7001
0.0000 0.5000 0.5641
0.5000 0.5000 0.0627
0.5000 0.0000 0.2069
```

=====

[12]
Diffraction record for Ba2Ag5Au5. The X-ray powder pattern is computed, not measured: it uses a cell relaxed with PBE and a wavelength of 1.5418 Å.

Most intense lines, 10 to 80 degrees two-theta, low angle first:
d/Å  Rel. int.
5.071  29
2.496  100
2.463  37
2.312  35
2.223  31
1.588  25

Structural model:
```
Ba2Ag5Au5
1.0
4.6236 0.0000 0.0000
0.0000 5.8192 0.0000
0.0000 0.0000 10.3375
Ba Ag Au
2 5 5
Direct
0.0000 0.0000 0.0000
0.0000 0.5000 0.5000
0.5000 0.0000 0.5000
0.5000 0.2502 0.2505
0.5000 0.2502 0.7495
0.5000 0.7498 0.2505
0.5000 0.7498 0.7495
0.0000 0.0000 0.3334
0.0000 0.0000 0.6666
0.0000 0.5000 0.1682
0.0000 0.5000 0.8318
0.5000 0.5000 0.0000
```